# 1
Diffraction record for Lu2ReB6. The X-ray powder pattern is calculated, not measured: it uses the GGA-PBE geometry in the Materials Project and CuKα.
Intensities are scaled so that the largest is 100.

Cell and atoms:
Lattice parameters (Å, degrees): 9.085 11.452 3.618 90.00 90.00 90.00
Space group Pbam (No. 55)
Inequivalent atoms, fractional coordinates:
Lu 0.056 0.129 0.000
Lu 0.176 0.414 0.000
Re 0.139 0.679 0.000
B 0.018 0.288 0.500
B 0.054 0.566 0.500
B 0.100 0.972 0.500
B 0.132 0.815 0.500
B 0.205 0.234 0.500
B 0.249 0.079 0.500

The 10 most intense peaks (10 to 90 degrees two-theta), in order of rising 2θ:
h k l, 2θ/deg, intensity
0 0 1, 24.61, 100
3 1 0, 30.56, 65
0 4 0, 31.24, 21
1 4 0, 32.80, 29
3 2 0, 33.47, 23
3 1 1, 39.62, 82
0 4 1, 40.17, 26
1 4 1, 41.43, 36
3 2 1, 41.98, 29
2 7 0, 60.13, 29



# 2
Diffraction record for CaHo2S4. The X-ray powder pattern is calculated, not measured: it uses the GGA-PBE geometry in the Materials Project and CuKα.
Intensities are scaled so that the largest is 100.

Cell and atoms:
Lattice parameters (Å, degrees): 8.349 8.349 8.358 90.00 90.00 90.00
Space group I-42d (No. 122)
Inequivalent atoms, fractional coordinates:
Ca 0.000 0.000 0.000
Ho 0.127 0.250 0.625
S 0.072 0.178 0.310

The 10 most intense peaks (10 to 90 degrees two-theta), in order of rising 2θ:
h k l, 2θ/deg, intensity
1 0 1, 15.00, 29
1 1 2, 26.13, 100
3 1 0, 33.95, 96
2 1 3, 40.41, 71
4 0 2, 48.76, 38
3 2 3, 51.31, 26
3 1 4, 56.15, 31
1 1 6, 69.36, 37
5 1 4, 73.48, 14
2 1 7, 85.42, 28